Calculated X-ray diffraction stick pattern
Compound: SnBiPd2
Radiation: a wavelength of 1.5418 Å
Structure: DFT lattice parameters and positions (GGA-PBE)
Intensities are scaled so that the largest is 100.

abc: 8.306 7.396 5.711
angles: 90.00 90.00 90.00
Element x y z (fractional)
Sn (0.124, 0.073, 0.250)
Sn (0.124, 0.427, 0.750)
Sn (0.876, 0.573, 0.250)
Sn (0.876, 0.927, 0.750)
Bi (0.375, 0.584, 0.250)
Bi (0.375, 0.916, 0.750)
Bi (0.625, 0.084, 0.250)
Bi (0.625, 0.416, 0.750)
Pd (0.111, 0.750, 0.000)
Pd (0.111, 0.750, 0.500)
Pd (0.358, 0.250, 0.000)
Pd (0.358, 0.250, 0.500)
Pd (0.642, 0.750, 0.000)
Pd (0.642, 0.750, 0.500)
Pd (0.889, 0.250, 0.000)
Pd (0.889, 0.250, 0.500)

The 10 most intense peaks (10° ≤ 2θ ≤ 80°), in order of rising 2θ:
hkl 0 2 1, d = 3.104 Å, I = 48
hkl 2 1 1, d = 3.058 Å, I = 100
hkl 0 2 2, d = 2.260 Å, I = 41
hkl 2 1 2, d = 2.242 Å, I = 71
hkl 2 3 0, d = 2.120 Å, I = 64
hkl 4 0 0, d = 2.076 Å, I = 29
hkl 4 2 1, d = 1.726 Å, I = 18
hkl 2 1 3, d = 1.685 Å, I = 18
hkl 4 2 2, d = 1.529 Å, I = 22
hkl 2 5 2, d = 1.252 Å, I = 13